No. 1
Structure and theoretical X-ray powder pattern of CdGa2O4 (the PBE geometry in the Materials Project; a wavelength of 1.5418 Å).
Kinematic intensities with the Lorentz-polarization factor, no thermal factor.

Largest 10 diffraction maxima, in order of falling intensity, 2θ = 10–90°:
(1 1 12), 2θ 34.01, I 1000; (0 1 20), 2θ 33.81, I 383; (1 1 0), 2θ 28.94, I 325; (2 2 0), 2θ 59.98, I 271; (2 0 32), 2θ 59.52, I 261; (1 2 20), 2θ 54.47, I 230; (1 0 16), 2θ 28.74, I 222; (0 3 12), 2θ 54.59, I 184; (4 1 12), 2θ 85.39, I 143; (2 0 8), 2θ 35.60, I 130

Crystal structure
```
data_CdGa2O4
_chemical_formula_sum 'Cd24 Ga48 O96'
_symmetry_space_group_name_H-M 'R 3 m'
_symmetry_Int_Tables_number 160
_symmetry_space_group_name_Hall 'R 3 -2"'
_cell_length_a 6.1696
_cell_length_b 6.1696
_cell_length_c 61.0794
_cell_angle_alpha 90.00
_cell_angle_beta 90.00
_cell_angle_gamma 120.00
loop_
_atom_site_label
_atom_site_type_symbol
_atom_site_fract_x
_atom_site_fract_y
_atom_site_fract_z
Cd1 Cd 0.0000 0.0000 0.0000
Cd2 Cd 0.0000 0.0000 0.0607
Cd3 Cd 0.0000 0.0000 0.2498
Cd4 Cd 0.0000 0.0000 0.4991
Cd5 Cd 0.0000 0.0000 0.6564
Cd6 Cd 0.0000 0.0000 0.7499
Cd7 Cd 0.0000 0.0000 0.8124
Cd8 Cd 0.0000 0.0000 0.9046
Ga1 Ga 0.0000 0.0000 0.1546
Ga2 Ga 0.0000 0.0000 0.3099
Ga3 Ga 0.0000 0.0000 0.4056
Ga4 Ga 0.0000 0.0000 0.5607
Ga5 Ga 0.1670 0.3341 0.1136
Ga6 Ga 0.1692 0.3385 0.3648
Ga7 Ga 0.1708 0.3416 0.8632
Ga8 Ga 0.1713 0.3427 0.6138
O1 O 0.0000 0.0000 0.0972
O2 O 0.0000 0.0000 0.2135
O3 O 0.0000 0.0000 0.3418
O4 O 0.0000 0.0000 0.4636
O5 O 0.0000 0.0000 0.5934
O6 O 0.0000 0.0000 0.7152
O7 O 0.0000 0.0000 0.8492
O8 O 0.0000 0.0000 0.9647
O9 O 0.0050 0.5025 0.2144
O10 O 0.0279 0.5140 0.3487
O11 O 0.0335 0.5168 0.5970
O12 O 0.0491 0.5245 0.0948
O13 O 0.0513 0.5256 0.8437
O14 O 0.1715 0.3430 0.2981
O15 O 0.1898 0.3797 0.7997
O16 O 0.1943 0.3887 0.0500
```

=====

No. 2
Structure and theoretical X-ray powder pattern of CdGa2O4 (the PBE geometry in the Materials Project; a wavelength of 1.5418 Å).
Kinematic intensities with the Lorentz-polarization factor, no thermal factor.

Largest 10 diffraction maxima, in order of falling intensity, 2θ = 10–90°:
(3 0 2), 2θ 33.49, I 1000; (2 1 0), 2θ 35.56, I 589; (1 1 3), 2θ 40.31, I 450; (0 0 4), 2θ 33.28, I 448; (2 1 4), 2θ 49.53, I 214; (3 2 2), 2θ 72.02, I 213; (0 1 1), 2θ 30.86, I 208; (4 1 1), 2θ 50.49, I 192; (3 1 3), 2θ 49.35, I 184; (3 1 1), 2θ 42.83, I 171

Crystal structure
```
data_CdGa2O4
_chemical_formula_sum 'Cd4 Ga8 O16'
_symmetry_space_group_name_H-M 'P n m a'
_symmetry_Int_Tables_number 62
_cell_length_a 9.2510
_cell_length_b 3.0085
_cell_length_c 10.7685
_cell_angle_alpha 90.00
_cell_angle_beta 90.00
_cell_angle_gamma 90.00
loop_
_symmetry_equiv_pos_as_xyz
'x,y,z'
'-x,-y,-z'
'-x+1/2,-y,z+1/2'
'x+1/2,y,-z+1/2'
'x+1/2,-y+1/2,-z+1/2'
'-x+1/2,y+1/2,z+1/2'
'-x,y+1/2,-z'
'x,-y+1/2,z'
loop_
_atom_site_label
_atom_site_type_symbol
_atom_site_fract_x
_atom_site_fract_y
_atom_site_fract_z
Cd1 Cd 0.2420 0.2500 0.1549
Ga1 Ga 0.0636 0.2500 0.3873
Ga2 Ga 0.0834 0.2500 0.8953
O1 O 0.0298 0.7500 0.7842
O2 O 0.0812 0.2500 0.5708
O3 O 0.1158 0.7500 0.0234
O4 O 0.2036 0.7500 0.3414
```

=====

No. 3
Structure and theoretical X-ray powder pattern of PrCdGa (the PBE geometry in the Materials Project; a wavelength of 1.5418 Å).
Kinematic intensities with the Lorentz-polarization factor, no thermal factor.

Largest 10 diffraction maxima, in order of falling intensity, 2θ = 10–90°:
(1 1 1), 2θ 30.94, I 1000; (2 0 1), 2θ 33.92, I 970; (2 1 0), 2θ 36.45, I 552; (0 0 2), 2θ 39.98, I 325; (2 1 2), 2θ 55.20, I 324; (3 2 1), 2θ 65.75, I 240; (3 1 1), 2θ 54.67, I 233; (3 0 0), 2θ 41.54, I 175; (2 1 1), 2θ 41.76, I 159; (3 0 2), 2θ 59.02, I 121

Crystal structure
```
data_PrCdGa
_chemical_formula_sum 'Pr3 Cd3 Ga3'
_symmetry_space_group_name_H-M 'P -6 2 m'
_symmetry_Int_Tables_number 189
_symmetry_space_group_name_Hall 'P -6 -2'
_cell_length_a 7.5314
_cell_length_b 7.5314
_cell_length_c 4.5103
_cell_angle_alpha 90.00
_cell_angle_beta 90.00
_cell_angle_gamma 120.00
loop_
_atom_site_label
_atom_site_type_symbol
_atom_site_fract_x
_atom_site_fract_y
_atom_site_fract_z
Pr1 Pr 0.0000 0.5798 0.0000
Cd1 Cd 0.0000 0.2465 0.5000
Ga1 Ga 0.0000 0.0000 0.0000
Ga2 Ga 0.3333 0.6667 0.5000
```

=====

No. 4
Structure and theoretical X-ray powder pattern of Sc2CdGa (the PBE geometry in the Materials Project; a wavelength of 1.5418 Å).
Kinematic intensities with the Lorentz-polarization factor, no thermal factor.

Largest 10 diffraction maxima, in order of falling intensity, 2θ = 10–90°:
(2 2 0), 2θ 36.84, I 1000; (4 2 2), 2θ 66.36, I 323; (4 0 0), 2θ 53.08, I 165; (2 0 0), 2θ 25.82, I 156; (6 2 0), 2θ 89.91, I 142; (4 4 0), 2θ 78.39, I 98; (4 2 0), 2θ 59.95, I 64; (1 1 1), 2θ 22.31, I 55; (2 2 2), 2θ 45.53, I 48; (6 0 0), 2θ 84.18, I 32

Crystal structure
```
data_Sc2CdGa
_chemical_formula_sum 'Sc8 Cd4 Ga4'
_symmetry_space_group_name_H-M 'F m -3 m'
_symmetry_Int_Tables_number 225
_symmetry_space_group_name_Hall '-F 4 2 3'
_cell_length_a 6.9008
_cell_length_b 6.9008
_cell_length_c 6.9008
_cell_angle_alpha 90.00
_cell_angle_beta 90.00
_cell_angle_gamma 90.00
loop_
_atom_site_label
_atom_site_type_symbol
_atom_site_fract_x
_atom_site_fract_y
_atom_site_fract_z
Sc1 Sc 0.2500 0.2500 0.2500
Cd1 Cd 0.0000 0.0000 0.0000
Ga1 Ga 0.0000 0.0000 0.5000
```

=====

No. 5
Structure and theoretical X-ray powder pattern of Cd2Ga2Se5 (the PBE geometry in the Materials Project; a wavelength of 1.5418 Å).
Kinematic intensities with the Lorentz-polarization factor, no thermal factor.

Largest 10 diffraction maxima, in order of falling intensity, 2θ = 10–90°:
(1 0 2), 2θ 24.98, I 1000; (0 2 0), 2θ 26.45, I 883; (1 3 -3), 2θ 47.85, I 738; (1 1 -3), 2θ 28.32, I 588; (2 0 -1), 2θ 24.65, I 450; (2 3 -1), 2θ 47.67, I 389; (3 0 1), 2θ 43.50, I 385; (3 0 -4), 2θ 43.68, I 383; (1 2 -3), 2θ 36.69, I 375; (0 0 5), 2θ 44.19, I 353

Crystal structure
```
data_Cd2Ga2Se5
_chemical_formula_sum 'Cd4 Ga4 Se10'
_symmetry_space_group_name_H-M 'P 1 21 1'
_symmetry_Int_Tables_number 4
_cell_length_a 7.2239
_cell_length_b 6.7406
_cell_length_c 10.8503
_cell_angle_alpha 90.00
_cell_angle_beta 109.19
_cell_angle_gamma 90.00
loop_
_symmetry_equiv_pos_as_xyz
'x,y,z'
'-x,y+1/2,-z'
loop_
_atom_site_label
_atom_site_type_symbol
_atom_site_fract_x
_atom_site_fract_y
_atom_site_fract_z
Cd1 Cd 0.0724 0.0000 0.3176
Cd2 Cd 0.1551 0.5240 0.1192
Ga1 Ga 0.3503 0.5179 0.5049
Ga2 Ga 0.4792 0.0129 0.1033
Se1 Se 0.0563 0.6064 0.3274
Se2 Se 0.1501 0.1211 0.0998
Se3 Se 0.2843 0.6534 0.6998
Se4 Se 0.3544 0.1512 0.5262
Se5 Se 0.4993 0.6468 0.1024
```